Record 1
Rb2NdUS4: calculated powder diffraction line list (Cu Kα (λ = 1.5418 Å)), based on a GGA-PBE-relaxed structure.
Lines closer than 0.1° are merged.

Peak list (10 most intense, 2θ = 10–80°, by intensity)
d/Å	Rel. int.
3.059	1000
3.440	508
7.725	382
2.257	376
2.080	341
3.863	255
1.831	208
1.720	180
1.325	153
1.949	151

Structure:
```
data_Rb2NdUS4
_chemical_formula_sum 'Rb2 Nd1 U1 S4'
_cell_length_a 7.2005
_cell_length_b 4.1610
_cell_length_c 8.0910
_cell_angle_alpha 90.00
_cell_angle_beta 107.29
_cell_angle_gamma 90.00
_symmetry_space_group_name_H-M 'P 1'
_symmetry_Int_Tables_number 1
_symmetry_space_group_name_Hall 'P 1'
loop_
_atom_site_label
_atom_site_type_symbol
_atom_site_fract_x
_atom_site_fract_y
_atom_site_fract_z
_atom_site_occupancy
Rb1 Rb 0.0000 0.0000 0.0000 1
Rb2 Rb 0.5000 0.5000 0.0000 1
Nd1 Nd 0.0000 0.5000 0.5000 1
U1 U 0.5000 0.0000 0.5000 1
S1 S 0.2405 0.0000 0.6977 1
S2 S 0.2769 0.5000 0.3064 1
S3 S 0.7231 0.5000 0.6936 1
S4 S 0.7595 0.0000 0.3023 1
```

Record 2
PuGaO4: calculated powder diffraction line list (Cu Kα (λ = 1.5418 Å)), based on a GGA-PBE-relaxed structure.
Lines closer than 0.1° are merged.

Peak list (10 most intense, 2θ = 10–80°, by intensity)
d/Å	Rel. int.
5.146	1000
3.179	388
2.654	236
2.060	188
3.098	181
1.804	156
2.758	130
4.381	105
2.016	88
1.852	85

Structure:
```
data_PuGaO4
_chemical_formula_sum 'Pu2 Ga2 O8'
_cell_length_a 6.1959
_cell_length_b 6.1959
_cell_length_c 9.2414
_cell_angle_alpha 90.00
_cell_angle_beta 90.00
_cell_angle_gamma 90.00
_symmetry_space_group_name_H-M 'P 1'
_symmetry_Int_Tables_number 1
_symmetry_space_group_name_Hall 'P 1'
loop_
_atom_site_label
_atom_site_type_symbol
_atom_site_fract_x
_atom_site_fract_y
_atom_site_fract_z
_atom_site_occupancy
Pu1 Pu 0.0000 0.0000 0.0000 1
Pu2 Pu 0.5000 0.5000 0.5000 1
Ga1 Ga 0.0000 0.5000 0.7500 1
Ga2 Ga 0.5000 0.0000 0.2500 1
O1 O 0.0000 0.2599 0.8688 1
O2 O 0.0000 0.7401 0.8688 1
O3 O 0.2401 0.5000 0.6312 1
O4 O 0.2599 0.0000 0.1312 1
O5 O 0.5000 0.2401 0.3688 1
O6 O 0.5000 0.7599 0.3688 1
O7 O 0.7401 0.0000 0.1312 1
O8 O 0.7599 0.5000 0.6312 1
```

Record 3
Pa4TlSe8: calculated powder diffraction line list (Cu Kα (λ = 1.5418 Å)), based on a GGA-PBE-relaxed structure.
Lines closer than 0.1° are merged.

Peak list (10 most intense, 2θ = 10–80°, by intensity)
d/Å	Rel. int.
8.537	1000
2.664	964
1.969	323
3.167	304
3.410	292
2.185	256
1.584	204
3.344	184
1.234	181
1.447	156

Structure:
```
data_Pa4TlSe8
_chemical_formula_sum 'Pa8 Tl2 Se16'
_cell_length_a 7.8762
_cell_length_b 7.8762
_cell_length_c 17.0746
_cell_angle_alpha 90.00
_cell_angle_beta 90.00
_cell_angle_gamma 120.00
_symmetry_space_group_name_H-M 'P 1'
_symmetry_Int_Tables_number 1
_symmetry_space_group_name_Hall 'P 1'
loop_
_atom_site_label
_atom_site_type_symbol
_atom_site_fract_x
_atom_site_fract_y
_atom_site_fract_z
_atom_site_occupancy
Pa1 Pa 0.0000 0.0000 0.2500 1
Pa2 Pa 0.0000 0.0000 0.7500 1
Pa3 Pa 0.0033 0.5016 0.2500 1
Pa4 Pa 0.4984 0.5016 0.2500 1
Pa5 Pa 0.4984 0.9967 0.2500 1
Pa6 Pa 0.5016 0.0033 0.7500 1
Pa7 Pa 0.5016 0.4984 0.7500 1
Pa8 Pa 0.9967 0.4984 0.7500 1
Tl1 Tl 0.0000 0.0000 0.0000 1
Tl2 Tl 0.0000 0.0000 0.5000 1
Se1 Se 0.1669 0.3339 0.6469 1
Se2 Se 0.1669 0.3339 0.8531 1
Se3 Se 0.1669 0.8331 0.6469 1
Se4 Se 0.1669 0.8331 0.8531 1
Se5 Se 0.3333 0.6667 0.1464 1
Se6 Se 0.3333 0.6667 0.3536 1
Se7 Se 0.3339 0.1669 0.1469 1
Se8 Se 0.3339 0.1669 0.3531 1
Se9 Se 0.6661 0.8331 0.6469 1
Se10 Se 0.6661 0.8331 0.8531 1
Se11 Se 0.6667 0.3333 0.6464 1
Se12 Se 0.6667 0.3333 0.8536 1
Se13 Se 0.8331 0.1669 0.1469 1
Se14 Se 0.8331 0.1669 0.3531 1
Se15 Se 0.8331 0.6661 0.1469 1
Se16 Se 0.8331 0.6661 0.3531 1
```

Record 4
CuC2O8: calculated powder diffraction line list (Cu Kα (λ = 1.5418 Å)), based on a GGA-PBE-relaxed structure.
Lines closer than 0.1° are merged.

Peak list (10 most intense, 2θ = 10–80°, by intensity)
d/Å	Rel. int.
3.437	1000
6.874	950
2.704	505
4.451	300
3.367	240
2.957	225
3.861	190
3.342	173
2.103	135
2.862	123

Structure:
```
data_CuC2O8
_chemical_formula_sum 'Cu2 C4 O16'
_cell_length_a 4.3342
_cell_length_b 8.9027
_cell_length_c 11.1439
_cell_angle_alpha 90.00
_cell_angle_beta 103.91
_cell_angle_gamma 90.00
_symmetry_space_group_name_H-M 'P 1'
_symmetry_Int_Tables_number 1
_symmetry_space_group_name_Hall 'P 1'
loop_
_atom_site_label
_atom_site_type_symbol
_atom_site_fract_x
_atom_site_fract_y
_atom_site_fract_z
_atom_site_occupancy
Cu1 Cu 0.0000 0.0000 0.0000 1
Cu2 Cu 0.0000 0.5000 0.5000 1
C1 C 0.2255 0.1886 0.7462 1
C2 C 0.2255 0.3114 0.2462 1
C3 C 0.7745 0.6886 0.7538 1
C4 C 0.7745 0.8114 0.2538 1
O1 O 0.0381 0.0930 0.7466 1
O2 O 0.0381 0.4070 0.2466 1
O3 O 0.4083 0.2147 0.2437 1
O4 O 0.4083 0.2853 0.7437 1
O5 O 0.4125 0.5529 0.5239 1
O6 O 0.4125 0.9471 0.0239 1
O7 O 0.4246 0.0558 0.5090 1
O8 O 0.4246 0.4442 0.0090 1
O9 O 0.5754 0.5558 0.9910 1
O10 O 0.5754 0.9442 0.4910 1
O11 O 0.5875 0.0529 0.9761 1
O12 O 0.5875 0.4471 0.4761 1
O13 O 0.5917 0.7147 0.2563 1
O14 O 0.5917 0.7853 0.7563 1
O15 O 0.9619 0.5930 0.7534 1
O16 O 0.9619 0.9070 0.2534 1
```

Record 5
LiBi3P6O20: calculated powder diffraction line list (Cu Kα (λ = 1.5418 Å)), based on a GGA-PBE-relaxed structure.
Lines closer than 0.1° are merged.

Peak list (10 most intense, 2θ = 10–80°, by intensity)
d/Å	Rel. int.
4.171	1000
4.830	843
4.407	839
8.815	669
2.968	654
3.635	599
4.217	578
7.281	549
3.213	443
2.535	400

Structure:
```
data_LiBi3P6O20
_chemical_formula_sum 'Li2 Bi6 P12 O40'
_cell_length_a 9.1688
_cell_length_b 9.1688
_cell_length_c 12.8537
_cell_angle_alpha 90.00
_cell_angle_beta 90.00
_cell_angle_gamma 105.98
_symmetry_space_group_name_H-M 'P 1'
_symmetry_Int_Tables_number 1
_symmetry_space_group_name_Hall 'P 1'
loop_
_atom_site_label
_atom_site_type_symbol
_atom_site_fract_x
_atom_site_fract_y
_atom_site_fract_z
_atom_site_occupancy
Li1 Li 0.0678 0.0678 0.0000 1
Li2 Li 0.9322 0.9322 0.5000 1
Bi1 Bi 0.2153 0.7847 0.2500 1
Bi2 Bi 0.3066 0.6934 0.7500 1
Bi3 Bi 0.3700 0.3700 0.0000 1
Bi4 Bi 0.6300 0.6300 0.5000 1
Bi5 Bi 0.6934 0.3066 0.2500 1
Bi6 Bi 0.7847 0.2153 0.7500 1
P1 P 0.0974 0.3933 0.3116 1
P2 P 0.1929 0.2624 0.7897 1
P3 P 0.2350 0.6027 0.4797 1
P4 P 0.2624 0.1929 0.2103 1
P5 P 0.3933 0.0974 0.6884 1
P6 P 0.3973 0.7650 0.0203 1
P7 P 0.6027 0.2350 0.5203 1
P8 P 0.6067 0.9026 0.1884 1
P9 P 0.7376 0.8071 0.7103 1
P10 P 0.7650 0.3973 0.9797 1
P11 P 0.8071 0.7376 0.2897 1
P12 P 0.9026 0.6067 0.8116 1
O1 O 0.0453 0.2669 0.7402 1
O2 O 0.0691 0.6921 0.8038 1
O3 O 0.1244 0.4459 0.4305 1
O4 O 0.1607 0.1844 0.1144 1
O5 O 0.1610 0.5201 0.2358 1
O6 O 0.1844 0.1607 0.8856 1
O7 O 0.1894 0.7351 0.4307 1
O8 O 0.1967 0.2747 0.3050 1
O9 O 0.2061 0.5846 0.5957 1
O10 O 0.2649 0.8106 0.0693 1
O11 O 0.2669 0.0453 0.2598 1
O12 O 0.2747 0.1967 0.6950 1
O13 O 0.2952 0.4233 0.8212 1
O14 O 0.3079 0.9309 0.6962 1
O15 O 0.3971 0.6007 0.4472 1
O16 O 0.3993 0.6029 0.0528 1
O17 O 0.4154 0.7939 0.9043 1
O18 O 0.4233 0.2952 0.1788 1
O19 O 0.4459 0.1244 0.5695 1
O20 O 0.4799 0.8390 0.2642 1
O21 O 0.5201 0.1610 0.7642 1
O22 O 0.5541 0.8756 0.0695 1
O23 O 0.5767 0.7048 0.6788 1
O24 O 0.5846 0.2061 0.4043 1
O25 O 0.6007 0.3971 0.5528 1
O26 O 0.6029 0.3993 0.9472 1
O27 O 0.6921 0.0691 0.1962 1
O28 O 0.7048 0.5767 0.3212 1
O29 O 0.7253 0.8033 0.1950 1
O30 O 0.7331 0.9547 0.7598 1
O31 O 0.7351 0.1894 0.5693 1
O32 O 0.7939 0.4154 0.0957 1
O33 O 0.8033 0.7253 0.8050 1
O34 O 0.8106 0.2649 0.9307 1
O35 O 0.8156 0.8393 0.3856 1
O36 O 0.8390 0.4799 0.7358 1
O37 O 0.8393 0.8156 0.6144 1
O38 O 0.8756 0.5541 0.9305 1
O39 O 0.9309 0.3079 0.3038 1
O40 O 0.9547 0.7331 0.2402 1
```

Record 6
PuPa4Pt3: calculated powder diffraction line list (Cu Kα (λ = 1.5418 Å)), based on a GGA-PBE-relaxed structure.
Lines closer than 0.1° are merged.

Peak list (10 most intense, 2θ = 10–80°, by intensity)
d/Å	Rel. int.
2.452	1000
1.416	228
1.415	123
1.732	121
1.227	87
1.737	54
1.224	20
2.722	14
1.402	7
1.300	7

Structure:
```
data_PuPa4Pt3
_chemical_formula_sum 'Pu2 Pa8 Pt6'
_cell_length_a 4.8970
_cell_length_b 9.8066
_cell_length_c 6.9490
_cell_angle_alpha 90.00
_cell_angle_beta 90.00
_cell_angle_gamma 90.00
_symmetry_space_group_name_H-M 'P 1'
_symmetry_Int_Tables_number 1
_symmetry_space_group_name_Hall 'P 1'
loop_
_atom_site_label
_atom_site_type_symbol
_atom_site_fract_x
_atom_site_fract_y
_atom_site_fract_z
_atom_site_occupancy
Pu1 Pu 0.2500 0.2500 0.1353 1
Pu2 Pu 0.7500 0.7500 0.8647 1
Pa1 Pa 0.2500 0.2500 0.6492 1
Pa2 Pa 0.2500 0.5018 0.3596 1
Pa3 Pa 0.2500 0.7500 0.1129 1
Pa4 Pa 0.2500 0.9982 0.3596 1
Pa5 Pa 0.7500 0.0018 0.6404 1
Pa6 Pa 0.7500 0.2500 0.8871 1
Pa7 Pa 0.7500 0.4982 0.6404 1
Pa8 Pa 0.7500 0.7500 0.3508 1
Pt1 Pt 0.2500 0.5114 0.8791 1
Pt2 Pt 0.2500 0.7500 0.6033 1
Pt3 Pt 0.2500 0.9886 0.8791 1
Pt4 Pt 0.7500 0.0114 0.1209 1
Pt5 Pt 0.7500 0.2500 0.3967 1
Pt6 Pt 0.7500 0.4886 0.1209 1
```